# Mg2Nb2CoO8
Calculated X-ray diffraction stick pattern, a wavelength of 1.5418 Å. Input: DFT lattice parameters and positions (PBE+U).
Neutral-atom scattering factors, no anomalous dispersion.

Main lines, by angle (2θ from 10° to 90°):
| 2theta | d_spacing | I_rel |
| --- | --- | --- |
| 20.29 | 4.377 | 61 |
| 23.08 | 3.854 | 66 |
| 26.55 | 3.358 | 67 |
| 26.72 | 3.336 | 80 |
| 27.64 | 3.227 | 75 |
| 32.55 | 2.751 | 100 |
| 32.79 | 2.731 | 97 |
| 34.41 | 2.607 | 87 |
| 34.54 | 2.597 | 56 |
| 51.39 | 1.778 | 46 |
| 51.79 | 1.765 | 73 |
| 52.06 | 1.757 | 47 |

Crystal structure
```
Mg2Nb2CoO8
1.0
9.5518 -3.0135 0.0000
9.5518 3.0135 0.0000
-0.0492 0.0000 5.1938
Mg Nb Co O
4 4 2 16
Direct
0.0878 0.3702 0.2529 Mg
0.3702 0.0878 0.7529 Mg
0.6298 0.9122 0.2471 Mg
0.9122 0.6298 0.7471 Mg
0.2155 0.5544 0.2440 Nb
0.4456 0.7845 0.2560 Nb
0.5544 0.2155 0.7440 Nb
0.7845 0.4456 0.7560 Nb
0.1471 0.8529 0.7500 Co
0.8529 0.1471 0.2500 Co
0.0460 0.3353 0.6147 O
0.0667 0.8178 0.0857 O
0.1822 0.9333 0.4143 O
0.2081 0.4169 0.9587 O
0.3172 0.5420 0.5832 O
0.3353 0.0460 0.1147 O
0.4169 0.2081 0.4587 O
0.4580 0.6828 0.9168 O
0.5420 0.3172 0.0832 O
0.5831 0.7919 0.5413 O
0.6647 0.9540 0.8853 O
0.6828 0.4580 0.4168 O
0.7919 0.5831 0.0413 O
0.8178 0.0667 0.5857 O
0.9333 0.1822 0.9143 O
0.9540 0.6647 0.3853 O
```